# Tm4TlCo2Ge4
Simulated powder XRD pattern, Cu Ka. Input: a structure optimized by DFT (PBE).
Intensities are scaled so that the largest is 100.

Main lines, in order of falling intensity (2θ from 10° to 90°):
2θ/deg  d/Å  I_rel
34.89  2.571  100
33.64  2.664  81
36.48  2.463  54
43.19  2.095  52
35.07  2.558  36
28.09  3.177  36
37.51  2.398  35
32.88  2.724  23
38.44  2.342  22
40.71  2.216  22

Crystal structure
```
data_Tm4TlCo2Ge4
_cell_length_a 7.969
_cell_length_b 7.969
_cell_length_c 6.994
_cell_angle_alpha 107.43
_cell_angle_beta 107.43
_cell_angle_gamma 30.48
_symmetry_space_group_name_H-M 'P 1'
_symmetry_Int_Tables_number 1
loop_
_symmetry_equiv_pos_as_xyz
'x,y,z'
loop_
_atom_site_label
_atom_site_type_symbol
_atom_site_fract_x
_atom_site_fract_y
_atom_site_fract_z
Tm1 Tm 0.091 0.091 0.391
Tm2 Tm 0.155 0.155 0.939
Tm3 Tm 0.845 0.845 0.061
Tm4 Tm 0.909 0.909 0.609
Tl1 Tl 0.500 0.500 0.000
Co1 Co 0.280 0.280 0.370
Co2 Co 0.720 0.720 0.630
Ge1 Ge 0.294 0.294 0.731
Ge2 Ge 0.431 0.431 0.342
Ge3 Ge 0.569 0.569 0.658
Ge4 Ge 0.706 0.706 0.269
```